No. 1
Starting from a GGA+U-relaxed structure, the powder diffraction line list of Li5Mn6B6O18 was calculated for CuKα.

Principal peaks in the range 10° ≤ 2θ ≤ 90°, by intensity:
| Position (°2θ) | d_spacing | intensity | h k l |
| --- | --- | --- | --- |
| 33.91 | 2.644 | 100 | 0 2 2 |
| 20.27 | 4.381 | 70 | 1 1 -1 |
| 22.72 | 3.914 | 54 | 1 0 1 |
| 21.94 | 4.052 | 35 | 0 2 -1 |
| 40.52 | 2.226 | 29 | 2 -2 0 |
| 50.79 | 1.798 | 27 | 1 2 3 |
| 34.05 | 2.633 | 25 | 2 0 -1 |
| 39.69 | 2.271 | 21 | 0 3 -3 |

Structure:
```
Li5Mn6B6O18
1.0
5.268 0.000 0.000
-0.139 8.295 0.000
-2.543 -2.245 8.712
Li Mn B O
5 6 6 18
direct
0.000 0.000 0.000
0.002 0.254 0.389
0.337 0.337 0.669
0.651 0.664 0.319
0.671 0.918 0.723
0.110 0.988 0.571
0.219 0.599 0.479
0.450 0.325 0.236
0.546 0.925 0.144
0.793 0.652 0.920
0.897 0.269 0.818
0.110 0.814 0.255
0.235 0.787 0.806
0.446 0.144 0.917
0.560 0.111 0.470
0.776 0.479 0.586
0.900 0.440 0.140
0.012 0.778 0.371
0.029 0.447 0.578
0.084 0.391 0.258
0.265 0.192 0.799
0.307 0.143 0.478
0.309 0.809 0.678
0.360 0.114 0.039
0.371 0.803 0.263
0.434 0.755 0.926
0.596 0.528 0.467
0.645 0.138 0.346
0.651 0.470 0.151
0.692 0.451 0.709
0.700 0.114 0.911
0.741 0.065 0.590
0.930 0.860 0.133
0.975 0.466 0.015
0.980 0.807 0.815
```

No. 2
Starting from a GGA+U-relaxed structure, the powder diffraction line list of Li2Mn3B3O9 was calculated for CuKα.

Principal peaks in the range 10° ≤ 2θ ≤ 90°, by intensity:
| Position (°2θ) | d_spacing | intensity | h k l |
| --- | --- | --- | --- |
| 21.49 | 4.134 | 100 | 0 1 1 |
| 21.72 | 4.092 | 55 | 0 1 -2 |
| 36.27 | 2.477 | 18 | 2 1 -3 |
| 35.47 | 2.531 | 17 | 2 -2 0 |
| 38.01 | 2.367 | 17 | 0 0 3 |
| 35.82 | 2.507 | 16 | -2 1 2 |
| 35.65 | 2.518 | 16 | 2 -1 1 |
| 35.86 | 2.504 | 16 | 2 1 0 |

Structure:
```
Li2Mn3B3O9
1.0
6.306 0.000 0.000
-0.153 8.281 0.000
-3.012 -4.065 7.102
Li Mn B O
4 6 6 18
direct
0.000 0.000 0.000
0.124 0.576 0.260
0.304 0.268 0.674
0.826 0.254 0.669
0.021 0.883 0.602
0.219 0.656 0.977
0.405 0.291 0.350
0.561 0.938 0.679
0.714 0.632 0.985
0.874 0.282 0.310
0.119 0.951 0.314
0.207 0.278 0.967
0.289 0.611 0.638
0.632 0.946 0.330
0.723 0.280 0.967
0.825 0.607 0.655
0.040 0.839 0.119
0.116 0.178 0.770
0.155 0.863 0.421
0.161 0.141 0.393
0.202 0.494 0.447
0.247 0.472 0.062
0.249 0.188 0.069
0.302 0.803 0.711
0.365 0.547 0.766
0.529 0.811 0.141
0.610 0.223 0.776
0.668 0.132 0.383
0.705 0.896 0.469
0.715 0.491 0.467
0.756 0.140 0.015
0.799 0.464 0.101
0.870 0.802 0.733
0.901 0.536 0.779
```

No. 3
Starting from a GGA+U-relaxed structure, the powder diffraction line list of Li2Mn3B4O12 was calculated for CuKα.

Principal peaks in the range 10° ≤ 2θ ≤ 90°, by intensity:
| Position (°2θ) | d_spacing | intensity | h k l |
| --- | --- | --- | --- |
| 18.17 | 4.883 | 100 | 1 0 0 |
| 19.70 | 4.507 | 55 | 0 1 2 |
| 34.53 | 2.598 | 28 | 0 0 4 |
| 34.63 | 2.590 | 17 | 1 3 -1 |
| 17.07 | 5.195 | 13 | 0 0 2 |
| 20.19 | 4.399 | 12 | 1 1 -1 |
| 44.07 | 2.055 | 12 | 1 0 4 |
| 40.58 | 2.223 | 12 | 2 2 -1 |

Structure:
```
Li2Mn3B4O12
1.0
5.113 0.000 0.000
0.000 9.063 0.000
-3.231 0.000 10.391
Li Mn B O
4 6 8 24
direct
0.000 0.215 0.000
0.000 0.785 0.500
0.437 0.285 0.734
0.437 0.715 0.234
0.849 0.286 0.247
0.849 0.714 0.747
0.931 0.053 0.746
0.931 0.947 0.246
0.942 0.461 0.509
0.942 0.539 0.009
0.359 0.049 0.233
0.359 0.951 0.733
0.501 0.443 0.032
0.501 0.557 0.532
0.928 0.110 0.477
0.928 0.890 0.977
0.930 0.385 0.760
0.930 0.615 0.260
0.005 0.017 0.927
0.005 0.983 0.427
0.108 0.402 0.690
0.108 0.598 0.190
0.119 0.134 0.208
0.119 0.866 0.708
0.241 0.401 0.020
0.241 0.599 0.520
0.305 0.095 0.761
0.305 0.905 0.261
0.575 0.417 0.510
0.575 0.583 0.010
0.606 0.091 0.223
0.606 0.909 0.723
0.723 0.340 0.066
0.723 0.660 0.566
0.808 0.103 0.573
0.808 0.897 0.073
0.824 0.491 0.309
0.824 0.509 0.809
0.837 0.252 0.794
0.837 0.748 0.294
0.966 0.248 0.428
0.966 0.752 0.928
```

No. 4
Starting from a GGA+U-relaxed structure, the powder diffraction line list of Li5Mn6B6O18 was calculated for CuKα.

Principal peaks in the range 10° ≤ 2θ ≤ 90°, by intensity:
| Position (°2θ) | d_spacing | intensity | h k l |
| --- | --- | --- | --- |
| 33.97 | 2.639 | 100 | 0 2 -2 |
| 20.35 | 4.363 | 71 | 0 0 3 |
| 22.78 | 3.904 | 55 | 1 -1 2 |
| 40.55 | 2.225 | 47 | 2 0 2 |
| 21.98 | 4.044 | 34 | 1 0 -2 |
| 34.13 | 2.627 | 25 | 1 0 4 |
| 39.79 | 2.266 | 21 | -2 1 3 |
| 34.49 | 2.600 | 21 | -1 1 4 |

Structure:
```
Li5Mn6B6O18
1.0
5.297 0.000 0.000
-2.333 5.452 0.000
-0.173 -2.022 13.089
Li Mn B O
5 6 6 18
direct
0.000 0.000 0.000
0.132 0.983 0.620
0.336 0.671 0.665
0.658 0.356 0.332
0.795 0.315 0.956
0.177 0.378 0.441
0.283 0.280 0.840
0.513 0.036 0.115
0.625 0.948 0.503
0.846 0.699 0.780
0.960 0.620 0.182
0.053 0.824 0.404
0.074 0.160 0.223
0.382 0.485 0.065
0.412 0.832 0.889
0.718 0.150 0.731
0.745 0.496 0.554
0.041 0.014 0.479
0.091 0.988 0.143
0.177 0.362 0.987
0.182 0.889 0.888
0.261 0.742 0.421
0.270 0.246 0.303
0.351 0.663 0.137
0.437 0.664 0.808
0.512 0.040 0.653
0.520 0.560 0.550
0.610 0.423 0.073
0.620 0.945 0.966
0.693 0.317 0.812
0.768 0.326 0.474
0.855 0.713 0.326
0.860 0.242 0.218
0.946 0.089 0.732
0.952 0.608 0.631
```

No. 5
Starting from a GGA+U-relaxed structure, the powder diffraction line list of LiMn2B2O6 was calculated for CuKα.

Principal peaks in the range 10° ≤ 2θ ≤ 90°, by intensity:
| Position (°2θ) | d_spacing | intensity | h k l |
| --- | --- | --- | --- |
| 20.07 | 4.423 | 100 | 0 0 3 |
| 22.83 | 3.895 | 83 | 1 -1 2 |
| 34.93 | 2.569 | 81 | 0 2 -2 |
| 33.93 | 2.642 | 64 | 1 0 4 |
| 21.90 | 4.058 | 60 | 1 0 -2 |
| 40.71 | 2.216 | 38 | 2 0 2 |
| 20.77 | 4.277 | 29 | -1 1 1 |
| 37.38 | 2.406 | 29 | 1 0 -5 |

Structure:
```
LiMn2B2O6
1.0
5.295 0.000 0.000
-2.325 5.291 0.000
-0.233 -2.017 13.270
Li Mn B O
3 6 6 18
direct
0.000 0.000 0.000
0.171 0.960 0.625
0.665 0.334 0.333
0.182 0.359 0.445
0.311 0.269 0.850
0.516 0.033 0.111
0.642 0.920 0.512
0.838 0.684 0.770
0.984 0.605 0.185
0.071 0.809 0.406
0.083 0.145 0.227
0.408 0.480 0.072
0.423 0.819 0.895
0.742 0.144 0.730
0.755 0.475 0.553
0.073 0.009 0.482
0.120 0.987 0.145
0.194 0.875 0.882
0.219 0.361 0.994
0.269 0.715 0.427
0.274 0.236 0.309
0.397 0.684 0.140
0.475 0.654 0.821
0.536 0.537 0.538
0.552 0.048 0.651
0.610 0.393 0.098
0.613 0.927 0.978
0.734 0.339 0.803
0.793 0.304 0.476
0.858 0.210 0.221
0.878 0.702 0.329
0.948 0.050 0.745
0.948 0.594 0.634
```

No. 6
Starting from a GGA+U-relaxed structure, the powder diffraction line list of Li5Mn6B6O18 was calculated for CuKα.

Principal peaks in the range 10° ≤ 2θ ≤ 90°, by intensity:
| Position (°2θ) | d_spacing | intensity | h k l |
| --- | --- | --- | --- |
| 33.95 | 2.641 | 100 | 2 -2 0 |
| 20.33 | 4.368 | 69 | 0 1 -2 |
| 22.79 | 3.902 | 55 | 0 2 -1 |
| 40.54 | 2.225 | 46 | 2 2 -2 |
| 21.98 | 4.044 | 34 | 1 0 1 |
| 34.12 | 2.628 | 24 | 1 2 -3 |
| 39.80 | 2.265 | 21 | 1 1 2 |
| 60.63 | 1.527 | 21 | 4 0 -2 |

Structure:
```
Li5Mn6B6O18
1.0
6.212 0.000 0.000
-1.397 7.806 0.000
-2.060 -4.048 7.809
Li Mn B O
5 6 6 18
direct
0.000 0.000 0.000
0.001 0.360 0.111
0.333 0.333 0.666
0.339 0.693 0.783
0.672 0.013 0.437
0.044 0.962 0.646
0.285 0.713 0.126
0.404 0.327 0.323
0.609 0.048 0.785
0.729 0.649 0.005
0.950 0.388 0.454
0.054 0.990 0.323
0.293 0.716 0.455
0.362 0.313 0.981
0.625 0.047 0.121
0.709 0.648 0.665
0.959 0.377 0.788
0.043 0.881 0.152
0.085 0.466 0.717
0.175 0.516 0.359
0.176 0.187 0.410
0.247 0.226 0.060
0.302 0.808 0.626
0.355 0.202 0.813
0.397 0.817 0.387
0.473 0.508 0.064
0.499 0.853 0.032
0.586 0.565 0.740
0.636 0.153 0.292
0.703 0.540 0.498
0.750 0.134 0.049
0.830 0.183 0.695
0.834 0.845 0.752
0.928 0.905 0.394
0.971 0.481 0.959
```